(1)
Calculated PXRD pattern of BaCu4S3 for CuKα, from a crystal structure in Alexandria, relaxed with PBE.
No peak broadening, texture or thermal motion is included.

Structural model:
```
32
Lattice="10.4038 0.0000 0.0000 0.0000 4.0335 0.0000 0.0000 0.0000 14.2226" Properties=species:S:1:pos:R:3 pbc="T T T"
Ba 2.5350 1.0084 0.0135
Ba 2.6669 3.0252 7.1248
Ba 7.7369 1.0084 7.0978
Ba 7.8688 3.0252 14.2091
Cu 0.3459 1.0084 5.1306
Cu 0.3436 3.0252 12.0913
Cu 0.6693 3.0252 3.5927
Cu 1.9227 1.0084 10.6600
Cu 3.2792 3.0252 3.5487
Cu 4.5326 1.0084 10.7040
Cu 4.8583 1.0084 4.9800
Cu 4.8560 3.0252 12.2419
Cu 5.5478 1.0084 1.9807
Cu 5.5455 3.0252 9.2427
Cu 5.8712 3.0252 3.5186
Cu 7.1246 1.0084 10.6739
Cu 8.4811 3.0252 3.5626
Cu 9.7345 1.0084 10.6299
Cu 10.0602 1.0084 2.1314
Cu 10.0579 3.0252 9.0920
S 0.5156 3.0252 1.3885
S 0.6393 1.0084 8.6914
S 2.5665 1.0084 4.4857
S 2.6354 3.0252 11.5970
S 4.5626 3.0252 1.5800
S 4.6863 1.0084 8.4998
S 5.7175 3.0252 5.7228
S 5.8412 1.0084 12.6426
S 7.7684 1.0084 2.6256
S 7.8373 3.0252 9.7369
S 9.7645 3.0252 5.5313
S 9.8882 1.0084 12.8342
```

Main lines, most intense first (5° ≤ 2θ ≤ 70°):
Position (°2θ), intensity
30.5, 100
30.3, 98
34.7, 80
44.9, 53
38.7, 49
21.2, 47
53.2, 41
55.3, 35


(2)
Calculated PXRD pattern of BaCuS4 for CuKα, from a crystal structure in Alexandria, relaxed with PBE.
No peak broadening, texture or thermal motion is included.

Structural model:
```
24
Lattice="4.8844 0.0000 0.0000 0.0000 17.4491 0.0000 0.0000 0.0000 6.7254" Properties=species:S:1:pos:R:3 pbc="T T T"
Ba 0.0000 2.6765 1.6814
Ba 0.0000 14.7726 5.0441
Ba 2.4422 6.0481 5.0441
Ba 2.4422 11.4010 1.6814
Cu 0.0000 7.5006 1.6814
Cu 0.0000 9.9486 5.0441
Cu 2.4422 1.2240 5.0441
Cu 2.4422 16.2251 1.6814
S 1.0176 3.1703 4.7742
S 1.0176 14.2788 1.4115
S 1.0298 0.1488 0.0809
S 1.0298 17.3003 3.4436
S 1.4124 8.5757 3.4436
S 1.4124 8.8734 0.0809
S 1.4246 5.5542 1.4115
S 1.4246 11.8949 4.7742
S 3.4599 5.5542 1.9512
S 3.4599 11.8949 5.3139
S 3.4720 8.5757 6.6445
S 3.4720 8.8734 3.2818
S 3.8546 0.1488 3.2818
S 3.8546 17.3003 6.6445
S 3.8668 3.1703 5.3139
S 3.8668 14.2788 1.9512
```

Main lines, most intense first (5° ≤ 2θ ≤ 70°):
Position (°2θ), intensity
23.1, 100
23.8, 66
33.6, 66
35.9, 65
44.6, 50
27.3, 49
40.6, 48
26.5, 45


(3)
Calculated PXRD pattern of BaCu4S3 for CuKα, from a crystal structure in Alexandria, relaxed with PBE.
No peak broadening, texture or thermal motion is included.

Structural model:
```
16
Lattice="1.9759 -7.2824 0.0000 1.9759 7.2824 0.0000 0.0000 0.0000 10.1899" Properties=species:S:1:pos:R:3 pbc="T T T"
Ba 1.9759 3.7196 7.6424
Ba 1.9759 -3.7196 2.5475
Cu 1.9759 7.2114 1.2922
Cu 1.9759 7.2114 3.8027
Cu 1.9759 1.3618 0.2338
Cu 1.9759 1.3618 4.8612
Cu 1.9759 -1.3618 5.3287
Cu 1.9759 -1.3618 9.9561
Cu 1.9759 -7.2114 6.3872
Cu 1.9759 -7.2114 8.8977
S 1.9759 5.0799 0.5161
S 1.9759 5.0799 4.5788
S 1.9759 0.8233 2.5475
S 1.9759 -0.8233 7.6424
S 1.9759 -5.0799 5.6111
S 1.9759 -5.0799 9.6738
```

Main lines, most intense first (5° ≤ 2θ ≤ 70°):
Position (°2θ), intensity
30.2, 100
30.5, 98
35.4, 68
38.4, 63
42.7, 63
21.3, 56
45.9, 53
52.0, 38